Calculated powder diffractogram of ZnPbSeO for Cu Kα (weighted mean of Kα1 and Kα2), from a structure optimized by DFT (PBE).

Top 8 peaks for 2θ = 5–70°, low angle first:
2θ/deg	I (rel.)
21.77	47
25.41	31
26.08	100
28.97	42
34.22	72
42.82	28
44.37	30
52.20	30

Atomic structure:
Lattice parameters (Å, degrees): 9.957 18.793 4.083 90.00 90.00 90.00
Sites, in units of the cell vectors:
Zn  0.064  0.117  0.000
Zn  0.150  0.625  0.000
Zn  0.350  0.125  0.000
Zn  0.436  0.617  0.000
Zn  0.564  0.383  0.000
Zn  0.650  0.875  0.000
Zn  0.850  0.375  0.000
Zn  0.936  0.883  0.000
Pb  0.188  0.259  0.500
Pb  0.235  0.486  0.500
Pb  0.265  0.986  0.500
Pb  0.312  0.759  0.500
Pb  0.688  0.241  0.500
Pb  0.735  0.014  0.500
Pb  0.765  0.514  0.500
Pb  0.812  0.741  0.500
Se  0.017  0.618  0.500
Se  0.067  0.863  0.500
Se  0.433  0.363  0.500
Se  0.483  0.118  0.500
Se  0.517  0.882  0.500
Se  0.567  0.637  0.500
Se  0.933  0.137  0.500
Se  0.983  0.382  0.500
O  0.206  0.197  0.000
O  0.208  0.044  0.000
O  0.292  0.544  0.000
O  0.294  0.697  0.000
O  0.706  0.303  0.000
O  0.708  0.456  0.000
O  0.792  0.956  0.000
O  0.794  0.803  0.000

Calculated powder diffractogram of La3Zn3Ge2SbO14 for Cu Kα (weighted mean of Kα1 and Kα2), from a structure optimized by DFT (PBE).

Top 8 peaks for 2θ = 5–70°, low angle first:
2θ/deg	I (rel.)
27.42	69
30.16	100
32.99	24
34.21	17
37.29	18
48.26	29
48.89	18
58.72	26

Atomic structure:
Lattice parameters (Å, degrees): 8.292 8.292 5.242 90.04 90.04 60.11
Sites, in units of the cell vectors:
La  0.000  0.000  0.000
La  0.153  0.423  0.001
La  0.577  0.847  0.999
Zn  0.341  0.659  0.500
Zn  0.579  0.187  0.502
Zn  0.813  0.421  0.498
Ge  0.245  0.088  0.450
Ge  0.912  0.755  0.550
Sb  0.577  0.423  0.000
O  0.049  0.271  0.295
O  0.108  0.742  0.705
O  0.242  0.089  0.785
O  0.258  0.892  0.295
O  0.352  0.503  0.222
O  0.430  0.100  0.300
O  0.433  0.338  0.783
O  0.497  0.648  0.778
O  0.662  0.567  0.217
O  0.723  0.199  0.223
O  0.729  0.951  0.705
O  0.801  0.277  0.777
O  0.900  0.570  0.700
O  0.911  0.758  0.215

Calculated powder diffractogram of Sc2TcAg3 for Cu Kα (weighted mean of Kα1 and Kα2), from a structure optimized by DFT (PBE).

Top 8 peaks for 2θ = 5–70°, low angle first:
2θ/deg	I (rel.)
19.82	10
27.55	16
36.60	64
39.81	100
41.96	6
52.72	21
62.16	6
68.05	38

Atomic structure:
Lattice parameters (Å, degrees): 3.472 3.472 8.961 90.00 90.00 90.00
Sites, in units of the cell vectors:
Sc  0.000  0.000  0.000
Sc  0.500  0.500  0.475
Tc  0.000  0.000  0.320
Ag  0.000  0.000  0.659
Ag  0.500  0.500  0.156
Ag  0.500  0.500  0.824

Calculated powder diffractogram of SnPbAu2 for Cu Kα (weighted mean of Kα1 and Kα2), from a structure optimized by DFT (PBE).

Top 8 peaks for 2θ = 5–70°, low angle first:
2θ/deg	I (rel.)
22.96	36
27.85	64
39.26	100
40.33	76
49.72	13
53.75	10
57.55	33
65.87	12

Atomic structure:
Lattice parameters (Å, degrees): 4.472 4.472 5.698 90.00 90.00 120.00
Sites, in units of the cell vectors:
Sn  0.000  0.000  0.000
Pb  0.333  0.667  0.500
Au  0.667  0.333  0.245
Au  0.667  0.333  0.755